Diffraction record for LiCoPO4. The powder diffractogram is simulated, not measured: it uses a DFT-relaxed cell (GGA+U, Alexandria) and a wavelength of 1.5418 Å.
Intensities are scaled so that the largest is 100.

Cell and atoms:
Lattice parameters (Å, degrees): 10.226 6.818 5.048 90.00 90.00 90.00
Space group Pna2_1 (No. 33)
Symmetry-distinct sites (fractional):
Li  0.150  0.002  0.000 [4 per cell]
Co  0.160  0.505  0.999 [4 per cell]
P  0.097  0.256  0.494 [4 per cell]
O  0.052  0.744  0.054 [4 per cell]
O  0.123  0.256  0.190 [4 per cell]
O  0.157  0.066  0.614 [4 per cell]
O  0.164  0.441  0.614 [4 per cell]

Most intense lines, 2θ = 10–80°, by angle:
5.673 Å, 2θ = 15.62°, rel. 59.3, (1 1 0); 4.091 Å, 2θ = 21.73°, rel. 63.1, (2 1 0); 4.057 Å, 2θ = 21.91°, rel. 80.4, (0 1 1); 3.771 Å, 2θ = 23.59°, rel. 100.0, (1 1 1); 3.049 Å, 2θ = 29.29°, rel. 42.3, (3 1 0); 2.836 Å, 2θ = 31.54°, rel. 41.6, (2 2 0); 2.556 Å, 2θ = 35.10°, rel. 38.9, (4 0 0); 2.524 Å, 2θ = 35.57°, rel. 49.5, (0 0 2); 2.473 Å, 2θ = 36.33°, rel. 63.5, (2 2 1); 1.447 Å, 2θ = 64.37°, rel. 27.7, (2 2 3)